RbVH6SO9: simulated powder diffraction line list (copper Kα), based on the GGA+U geometry in Alexandria.

Peak list (6 most intense, 2θ = 5–70°, in order of rising 2θ)
2θ = 16.35°, rel. 42.7, (0 1 1)
2θ = 17.62°, rel. 46.1, (0 2 0)
2θ = 24.83°, rel. 21.2, (1 1 1)
2θ = 29.15°, rel. 25.3, (0 1 2)
2θ = 30.07°, rel. 100.0, (0 3 1)
2θ = 38.60°, rel. 18.6, (2 2 -2)

Crystal structure
a b c (Å): 6.297 10.068 6.759
angles (deg): 90.00 107.87 90.00
Space group P2_1 (No. 4)
Unique sites:
Rb 0.193 0.000 0.183 (multiplicity 2)
V 0.122 0.350 0.384 (multiplicity 2)
H 0.022 0.113 0.652 (multiplicity 2)
H 0.197 0.612 0.266 (multiplicity 2)
H 0.277 0.559 0.695 (multiplicity 2)
H 0.317 0.427 0.824 (multiplicity 2)
H 0.389 0.691 0.073 (multiplicity 2)
H 0.465 0.199 0.694 (multiplicity 2)
S 0.417 0.849 0.733 (multiplicity 2)
O 0.045 0.291 0.145 (multiplicity 2)
O 0.071 0.557 0.286 (multiplicity 2)
O 0.179 0.212 0.535 (multiplicity 2)
O 0.185 0.881 0.589 (multiplicity 2)
O 0.221 0.467 0.693 (multiplicity 2)
O 0.379 0.707 0.213 (multiplicity 2)
O 0.439 0.391 0.402 (multiplicity 2)
O 0.439 0.705 0.778 (multiplicity 2)
O 0.470 0.929 0.921 (multiplicity 2)